The following is a simulated powder XRD pattern of Li7Mn5O12. It was derived from a cell relaxed with PBE+U, using Cu Kα (λ = 1.5418 Å).

Structure:
Unit cell a=29.347 b=5.759 c=5.239 alpha=90.00 beta=93.07 gamma=90.00
Space group C2/m (No. 12)
Symmetry-distinct sites (fractional):
Li  0.000  0.250  0.000
Li  0.084  0.000  0.822
Li  0.084  0.500  0.823
Li  0.171  0.250  0.663
Li  0.250  0.000  0.500
Li  0.250  0.250  0.000
Mn  0.000  0.000  0.500
Mn  0.000  0.500  0.500
Mn  0.085  0.250  0.312
Mn  0.171  0.000  0.136
Mn  0.171  0.500  0.136
O  0.038  0.250  0.651
O  0.046  0.000  0.166
O  0.047  0.500  0.165
O  0.125  0.000  0.447
O  0.125  0.500  0.447
O  0.131  0.250  0.993
O  0.204  0.250  0.311
O  0.205  0.000  0.857
O  0.205  0.500  0.858

Most intense lines, 2θ from 10° to 80°, by angle:
- (4 0 0), 2θ 12.1, rel. 8.0
- (2 0 1), 2θ 18.3, rel. 100.0
- (10 0 -1), 2θ 34.3, rel. 15.7
- (6 2 0), 2θ 36.2, rel. 24.4
- (8 0 -2), 2θ 41.3, rel. 31.1
- (8 2 1), 2θ 44.1, rel. 58.1
- (10 2 2), 2θ 58.1, rel. 9.4
- (16 2 -1), 2θ 61.8, rel. 15.1
- (0 2 3), 2θ 62.2, rel. 15.0
- (16 0 2), 2θ 63.6, rel. 8.2


The following is a simulated powder XRD pattern of Ba3MgMn3O9. It was derived from a cell relaxed with PBE+U, using Cu Kα (λ = 1.5418 Å).

Structure:
Unit cell a=10.150 b=5.859 c=8.394 alpha=90.00 beta=113.76 gamma=90.00
Space group Cm (No. 8)
Symmetry-distinct sites (fractional):
Ba  0.000  0.000  0.000
Ba  0.040  0.500  0.619
Ba  0.309  0.500  0.425
Mg  0.171  0.500  0.012
Mn  0.157  0.000  0.471
Mn  0.273  0.000  0.818
Mn  0.397  0.000  0.189
O  0.032  0.243  0.337
O  0.074  0.000  0.660
O  0.251  0.227  0.979
O  0.275  0.000  0.338
O  0.294  0.220  0.661
O  0.478  0.000  0.980

Most intense lines, 2θ from 10° to 80°, by angle:
- (2 0 -2), 2θ 23.4, rel. 29.1
- (2 0 1), 2θ 26.1, rel. 23.2
- (0 2 0), 2θ 30.5, rel. 100.0
- (1 1 2), 2θ 32.4, rel. 34.6
- (1 1 -3), 2θ 35.8, rel. 18.9
- (2 2 -2), 2θ 38.8, rel. 22.7
- (2 2 1), 2θ 40.6, rel. 20.4
- (4 0 1), 2θ 45.1, rel. 18.4
- (6 0 -2), 2θ 54.2, rel. 19.0
- (0 4 0), 2θ 63.5, rel. 19.1


The following is a simulated powder XRD pattern of LiCoPO4. It was derived from a cell relaxed with PBE+U, using Cu Kα (λ = 1.5418 Å).

Structure:
Unit cell a=5.906 b=6.459 c=9.460 alpha=74.23 beta=84.48 gamma=80.27
Space group P1 (No. 1)
Symmetry-distinct sites (fractional):
Li  0.000  0.000  0.000
Li  0.020  0.492  0.063
Li  0.164  0.177  0.413
Li  0.187  0.671  0.476
Co  0.395  0.463  0.810
Co  0.568  0.757  0.025
Co  0.618  0.913  0.450
Co  0.790  0.207  0.666
P  0.311  0.009  0.737
P  0.438  0.123  0.119
P  0.748  0.548  0.356
P  0.874  0.661  0.738
O  0.064  0.094  0.787
O  0.121  0.576  0.689
O  0.294  0.955  0.094
O  0.321  0.994  0.576
O  0.332  0.359  0.033
O  0.391  0.783  0.844
O  0.424  0.120  0.284
O  0.469  0.174  0.750
O  0.501  0.618  0.414
O  0.686  0.054  0.062
O  0.716  0.496  0.725
O  0.761  0.551  0.191
O  0.794  0.887  0.631
O  0.854  0.312  0.443
O  0.864  0.676  0.899
O  0.894  0.716  0.381

Most intense lines, 2θ from 10° to 80°, by angle:
- (1 0 0), 2θ 15.2, rel. 100.0
- (1 0 -1), 2θ 18.5, rel. 49.3
- (1 1 0), 2θ 19.4, rel. 36.7
- (1 1 1), 2θ 19.5, rel. 25.4
- (0 1 -2), 2θ 27.3, rel. 46.7
- (0 0 3), 2θ 29.5, rel. 44.0
- (1 2 1), 2θ 29.7, rel. 76.5
- (1 2 0), 2θ 30.8, rel. 25.7
- (1 -1 2), 2θ 31.9, rel. 40.3
- (1 0 3), 2θ 32.6, rel. 22.3


The following is a simulated powder XRD pattern of ZnNi4O5. It was derived from a cell relaxed with PBE+U, using Cu Kα (λ = 1.5418 Å).

Structure:
Unit cell a=3.005 b=4.245 c=15.026 alpha=90.00 beta=90.00 gamma=90.00
Space group Immm (No. 71)
Symmetry-distinct sites (fractional):
Zn  0.000  0.000  0.000
Ni  0.000  0.000  0.201
Ni  0.000  0.000  0.399
O  0.000  0.500  0.000
O  0.000  0.500  0.200
O  0.000  0.500  0.398

Most intense lines, 2θ from 10° to 80°, by angle:
- (1 1 0), 2θ 36.6, rel. 76.4
- (1 0 5), 2θ 42.6, rel. 100.0
- (2 0 0), 2θ 61.8, rel. 58.2
- (2 1 5), 2θ 74.0, rel. 29.5
- (2 2 0), 2θ 77.9, rel. 18.1


The following is a simulated powder XRD pattern of Li4TiNi3O8. It was derived from a cell relaxed with PBE+U, using Cu Kα (λ = 1.5418 Å).

Structure:
Unit cell a=5.871 b=5.893 c=10.130 alpha=73.33 beta=89.47 gamma=60.42
Space group P1 (No. 1)
Symmetry-distinct sites (fractional):
Li  0.000  0.000  0.000
Li  0.005  0.982  0.502
Li  0.239  0.986  0.255
Li  0.262  0.984  0.754
Li  0.506  0.985  0.009
Li  0.516  0.969  0.508
Li  0.757  0.979  0.255
Li  0.769  0.985  0.755
Ti  0.032  0.455  0.506
Ti  0.481  0.512  0.004
Ni  0.249  0.486  0.255
Ni  0.260  0.486  0.755
Ni  0.516  0.478  0.504
Ni  0.750  0.481  0.255
Ni  0.762  0.482  0.754
Ni  0.995  0.491  0.005
O  0.102  0.277  0.879
O  0.117  0.721  0.389
O  0.131  0.236  0.385
O  0.150  0.734  0.882
O  0.354  0.266  0.112
O  0.373  0.731  0.124
O  0.385  0.249  0.619
O  0.422  0.691  0.630
O  0.618  0.268  0.377
O  0.634  0.267  0.879
O  0.644  0.720  0.892
O  0.647  0.695  0.383
O  0.842  0.260  0.134
O  0.879  0.699  0.135
O  0.885  0.701  0.631
O  0.904  0.234  0.625

Most intense lines, 2θ from 10° to 80°, by angle:
- (0 1 0), 2θ 18.3, rel. 100.0
- (2 1 2), 2θ 35.7, rel. 15.0
- (0 1 4), 2θ 36.1, rel. 27.4
- (2 2 2), 2θ 37.5, rel. 14.5
- (2 0 2), 2θ 43.1, rel. 25.7
- (2 2 -2), 2θ 43.7, rel. 49.6
- (2 3 -2), 2θ 57.5, rel. 9.2
- (0 2 -4), 2θ 62.8, rel. 13.3
- (2 2 6), 2θ 63.3, rel. 13.8
- (2 0 -6), 2θ 63.9, rel. 6.9


The following is a simulated powder XRD pattern of K2MgFe2O4. It was derived from a cell relaxed with PBE+U, using Cu Kα (λ = 1.5418 Å).

Structure:
Unit cell a=3.342 b=5.874 c=7.618 alpha=79.37 beta=77.75 gamma=74.85
Space group P1 (No. 1)
Symmetry-distinct sites (fractional):
K  0.000  0.000  0.000
K  0.350  0.581  0.758
Mg  0.872  0.869  0.419
Fe  0.170  0.192  0.558
Fe  0.210  0.413  0.200
O  0.004  0.523  0.465
O  0.348  0.026  0.311
O  0.678  0.006  0.666
O  0.751  0.476  0.056

Most intense lines, 2θ from 10° to 80°, by angle:
- (0 1 0), 2θ 15.8, rel. 40.2
- (0 1 1), 2θ 18.5, rel. 45.4
- (1 0 0), 2θ 28.1, rel. 65.7
- (1 1 1), 2θ 28.5, rel. 74.2
- (0 1 -2), 2θ 30.8, rel. 91.9
- (0 2 1), 2θ 32.5, rel. 100.0
- (1 -1 0), 2θ 35.5, rel. 40.2
- (0 1 3), 2θ 37.9, rel. 88.7
- (1 2 -1), 2θ 42.5, rel. 71.7
- (2 1 1), 2θ 55.0, rel. 64.5


The following is a simulated powder XRD pattern of Mg2Nb2CoO8. It was derived from a cell relaxed with PBE+U, using Cu Kα (λ = 1.5418 Å).

Structure:
Unit cell a=19.141 b=6.037 c=5.201 alpha=90.00 beta=90.08 gamma=90.00
Space group C2/c (No. 15)
Symmetry-distinct sites (fractional):
Mg  0.228  0.142  0.254
Nb  0.115  0.332  0.757
Co  0.000  0.147  0.250
O  0.058  0.127  0.914
O  0.071  0.387  0.418
O  0.187  0.395  0.041
O  0.191  0.146  0.615

Most intense lines, 2θ from 10° to 80°, by angle:
- (3 1 0), 2θ 20.3, rel. 32.1
- (1 1 -1), 2θ 23.0, rel. 33.4
- (3 1 1), 2θ 26.6, rel. 75.7
- (5 1 0), 2θ 27.6, rel. 39.1
- (5 1 -1), 2θ 32.6, rel. 100.0
- (0 2 1), 2θ 34.3, rel. 44.9
- (0 0 2), 2θ 34.5, rel. 28.5
- (5 3 0), 2θ 51.3, rel. 23.8
- (8 0 -2), 2θ 51.8, rel. 61.5
- (0 2 3), 2θ 61.7, rel. 23.3


The following is a simulated powder XRD pattern of Li9Mn2Co5O16. It was derived from a cell relaxed with PBE+U, using Cu Kα (λ = 1.5418 Å).

Structure:
Unit cell a=2.960 b=5.104 c=19.240 alpha=93.60 beta=92.58 gamma=91.22
Space group P1 (No. 1)
Symmetry-distinct sites (fractional):
Li  0.000  0.000  0.000
Li  0.001  0.247  0.749
Li  0.009  0.490  0.495
Li  0.497  0.381  0.626
Li  0.497  0.875  0.125
Li  0.504  0.121  0.874
Li  0.512  0.606  0.373
Li  0.990  0.138  0.376
Li  0.993  0.751  0.249
Mn  0.500  0.493  0.999
Mn  0.502  0.009  0.495
Co  0.007  0.624  0.873
Co  0.012  0.866  0.624
Co  0.498  0.248  0.255
Co  0.505  0.747  0.749
Co  0.994  0.367  0.127
O  0.025  0.161  0.555
O  0.034  0.082  0.187
O  0.034  0.320  0.936
O  0.049  0.573  0.690
O  0.488  0.204  0.061
O  0.494  0.293  0.442
O  0.494  0.787  0.935
O  0.498  0.033  0.685
O  0.500  0.462  0.812
O  0.503  0.971  0.303
O  0.512  0.526  0.190
O  0.520  0.715  0.564
O  0.954  0.922  0.808
O  0.961  0.664  0.064
O  0.975  0.429  0.307
O  0.983  0.836  0.445

Most intense lines, 2θ from 10° to 80°, by angle:
- (0 1 1), 2θ 18.3, rel. 100.0
- (1 0 -4), 2θ 34.9, rel. 17.4
- (0 1 -7), 2θ 36.2, rel. 12.1
- (1 0 4), 2θ 36.4, rel. 12.1
- (-1 1 5), 2θ 42.0, rel. 31.2
- (0 2 -6), 2θ 44.0, rel. 26.1
- (1 1 5), 2θ 44.3, rel. 26.1
- (1 -2 2), 2θ 47.3, rel. 9.8
- (0 2 10), 2θ 62.5, rel. 23.0
- (2 0 0), 2θ 62.9, rel. 8.1


The following is a simulated powder XRD pattern of Fe3Si2O8. It was derived from a cell relaxed with PBE+U, using Cu Kα (λ = 1.5418 Å).

Structure:
Unit cell a=5.885 b=4.891 c=10.322 alpha=90.00 beta=91.09 gamma=90.00
Space group P2_1/c (No. 14)
Symmetry-distinct sites (fractional):
Fe  0.000  0.000  0.000
Fe  0.260  0.005  0.727
Si  0.249  0.557  0.904
O  0.031  0.725  0.830
O  0.235  0.226  0.892
O  0.240  0.667  0.054
O  0.456  0.697  0.820

Most intense lines, 2θ from 10° to 80°, by angle:
- (1 0 0), 2θ 15.1, rel. 25.8
- (1 0 2), 2θ 23.1, rel. 38.9
- (1 1 1), 2θ 25.3, rel. 100.0
- (0 1 3), 2θ 31.8, rel. 37.1
- (1 1 -3), 2θ 35.1, rel. 64.5
- (2 1 -1), 2θ 36.6, rel. 28.9
- (2 1 1), 2θ 36.8, rel. 30.8
- (1 1 5), 2θ 50.7, rel. 31.1
- (2 2 -2), 2θ 51.5, rel. 37.0
- (4 0 0), 2θ 63.2, rel. 24.7